Record 1
Computed powder diffraction line list of P for a wavelength of 1.5418 Å, from DFT lattice parameters and positions (PBE).

Structural model:
```
P
1.0
5.598 0.000 0.000
0.000 19.810 0.000
-1.527 0.000 6.158
P
10
direct
0.000 0.000 0.000 P
0.052 0.057 0.555 P
0.052 0.943 0.555 P
0.078 0.087 0.225 P
0.078 0.913 0.225 P
0.472 0.058 0.258 P
0.472 0.942 0.258 P
0.610 0.000 0.796 P
0.676 0.087 0.589 P
0.676 0.913 0.589 P
```

Peak list (10 most intense, 2θ = 10–90°, in order of falling intensity)
- 13.41°, 6.603 Å, I = 100, hkl 0 3 0
- 33.29°, 2.691 Å, I = 64, hkl 2 1 0
- 32.98°, 2.716 Å, I = 57, hkl 2 0 0
- 34.90°, 2.571 Å, I = 52, hkl 0 7 1
- 15.07°, 5.880 Å, I = 49, hkl 0 1 1
- 32.70°, 2.739 Å, I = 41, hkl 2 0 -1
- 14.38°, 6.158 Å, I = 39, hkl 0 0 1
- 19.53°, 4.545 Å, I = 37, hkl 1 1 -1
- 30.73°, 2.910 Å, I = 36, hkl 0 6 1
- 26.76°, 3.332 Å, I = 35, hkl 0 5 1


Record 2
Computed powder diffraction line list of Nd3AlFeS7 for a wavelength of 1.5418 Å, from DFT lattice parameters and positions (PBE).

Structural model:
```
Nd3AlFeS7
1.0
9.815 0.000 0.000
-4.908 8.500 0.000
0.000 0.000 6.244
Nd Al Fe S
6 2 2 14
direct
0.154 0.780 0.000 Nd
0.220 0.373 0.000 Nd
0.373 0.154 0.500 Nd
0.627 0.846 0.000 Nd
0.780 0.627 0.500 Nd
0.846 0.220 0.500 Nd
0.333 0.667 0.574 Al
0.667 0.333 0.074 Al
0.000 0.000 0.157 Fe
0.000 0.000 0.657 Fe
0.088 0.878 0.404 S
0.091 0.521 0.719 S
0.122 0.210 0.404 S
0.210 0.088 0.904 S
0.333 0.667 0.215 S
0.430 0.909 0.719 S
0.479 0.570 0.719 S
0.521 0.430 0.219 S
0.570 0.091 0.219 S
0.667 0.333 0.715 S
0.790 0.912 0.404 S
0.878 0.790 0.904 S
0.909 0.479 0.219 S
0.912 0.122 0.904 S
```

Peak list (10 most intense, 2θ = 10–90°, in order of falling intensity)
- 25.35°, 3.513 Å, I = 100, hkl 2 0 1
- 17.62°, 5.032 Å, I = 41, hkl 1 0 1
- 36.62°, 2.454 Å, I = 34, hkl 2 2 0
- 35.68°, 2.516 Å, I = 34, hkl 2 0 2
- 34.77°, 2.580 Å, I = 34, hkl 3 0 1
- 40.28°, 2.239 Å, I = 31, hkl 2 1 2
- 27.77°, 3.213 Å, I = 27, hkl 2 1 0
- 40.92°, 2.206 Å, I = 25, hkl 1 3 1
- 48.71°, 1.869 Å, I = 25, hkl 2 0 3
- 51.39°, 1.778 Å, I = 18, hkl 4 1 1